Entry 1:
# ScNb3O7
Calculated powder X-ray diffraction pattern, CuKα. Input: DFT lattice parameters and positions (GGA-PBE).
Lines closer than 0.1° are merged.

Structural model:
```
11
Lattice="4.283 2.473 2.604 -4.283 2.473 2.604 0.000 -4.946 2.604" Properties=species:S:1:pos:R:3 pbc="T T T"
Sc 0.000 0.000 0.000
Nb -1.424 -0.822 3.425
Nb 1.424 -0.822 3.425
Nb 0.000 1.644 3.425
O -2.662 -1.537 4.686
O 0.000 0.000 1.971
O 0.000 -2.076 4.230
O -1.798 1.038 4.230
O 2.662 -1.537 4.686
O 0.000 3.074 4.686
O 1.798 1.038 4.230
```

Peak list (10 most intense, 15° ≤ 2θ ≤ 90°, in order of rising 2θ)
two_theta  intensity
16.48  89
25.77  82
26.60  100
33.97  42
36.33  37
39.56  28
45.59  37
50.92  63
59.22  18
65.36  19

***

Entry 2:
# LiHo3Ga4
Calculated powder X-ray diffraction pattern, CuKα. Input: DFT lattice parameters and positions (GGA-PBE).
Lines closer than 0.1° are merged.

Structural model:
```
8
Lattice="2.445 1.412 8.221 -2.445 1.412 8.221 0.000 -2.824 8.221" Properties=species:S:1:pos:R:3 pbc="T T T"
Li 0.000 0.000 0.000
Ho 0.000 0.000 6.334
Ho 0.000 0.000 12.332
Ho 0.000 0.000 18.330
Ga 0.000 0.000 3.050
Ga 0.000 0.000 9.242
Ga 0.000 0.000 15.423
Ga 0.000 0.000 21.615
```

Peak list (10 most intense, 15° ≤ 2θ ≤ 90°, in order of rising 2θ)
two_theta  intensity
21.28  19
25.51  15
27.76  18
36.03  100
36.75  100
52.42  34
64.31  16
65.72  34
66.18  21
89.22  15